Starting from a cell relaxed with GGA-PBE, the XRD peak list of BaPa3O8 was computed for Cu Kα.
Neutral-atom scattering factors, no anomalous dispersion.

Crystal structure
Cell: 7.1189 7.1189 19.8913 Å, 90.00 90.00 120.00°
Space group R-3m (No. 166, hexagonal axes)
Symmetry-distinct sites (fractional):
Ba  0.0000  0.0000  0.0000 (multiplicity 3)
Pa  0.0000  0.5000  0.5000 (multiplicity 9)
O  0.0000  0.0000  0.2193 (multiplicity 6)
O  0.0608  0.5304  0.7775 (multiplicity 18)

Top 12 peaks for 2θ = 10–90°, most intense first:
(0 0 3), 13.35 deg, I = 100
(1 0 1), 15.04 deg, I = 91
(0 2 4), 34.22 deg, I = 68
(2 0 2), 30.36 deg, I = 55
(0 2 1), 29.32 deg, I = 34
(1 1 3), 28.46 deg, I = 33
(0 0 6), 26.89 deg, I = 29
(2 0 8), 46.95 deg, I = 24
(2 2 6), 58.90 deg, I = 22
(2 2 0), 51.34 deg, I = 22
(0 2 7), 43.31 deg, I = 19
(0 1 5), 26.67 deg, I = 19

=====

Starting from a cell relaxed with GGA-PBE, the XRD peak list of Ho6GaCu2 was computed for Cu Kα.
Neutral-atom scattering factors, no anomalous dispersion.

Crystal structure
Cell: 9.319 9.684 10.004 Å, 90.00 90.00 90.00°
Space group Immm (No. 71)
Symmetry-distinct sites (fractional):
Ho  0.000  0.192  0.241 (multiplicity 8)
Ho  0.198  0.500  0.175 (multiplicity 8)
Ho  0.224  0.319  0.500 (multiplicity 8)
Ga  0.000  0.000  0.000 (multiplicity 2)
Ga  0.000  0.000  0.500 (multiplicity 2)
Cu  0.000  0.345  0.000 (multiplicity 4)
Cu  0.000  0.500  0.379 (multiplicity 4)

Top 12 peaks for 2θ = 10–90°, most intense first:
(1 3 2), 34.40 deg, I = 100
(2 2 2), 32.11 deg, I = 94
(2 3 1), 34.99 deg, I = 48
(4 0 0), 38.65 deg, I = 27
(5 3 2), 60.25 deg, I = 27
(3 1 0), 30.21 deg, I = 24
(2 0 2), 26.14 deg, I = 21
(0 1 3), 28.31 deg, I = 20
(0 2 4), 40.60 deg, I = 19
(0 3 1), 29.07 deg, I = 19
(2 5 3), 58.57 deg, I = 18
(3 2 1), 35.49 deg, I = 17

=====

Starting from a cell relaxed with GGA-PBE, the XRD peak list of Nd2Tm2Hg3 was computed for Cu Kα.
Neutral-atom scattering factors, no anomalous dispersion.

Crystal structure
Cell: 5.1901 5.1901 25.8879 Å, 90.00 90.00 120.00°
Space group R-3m (No. 166, hexagonal axes)
Symmetry-distinct sites (fractional):
Nd  0.0000  0.0000  0.1272 (multiplicity 6)
Tm  0.0000  0.0000  0.3762 (multiplicity 6)
Hg  0.0000  0.0000  0.0000 (multiplicity 3)
Hg  0.0000  0.0000  0.2536 (multiplicity 6)

Top 12 peaks for 2θ = 10–90°, most intense first:
(0 1 8), 34.14 deg, I = 100
(1 1 0), 34.56 deg, I = 98
(1 2 8), 61.66 deg, I = 37
(2 0 8), 49.37 deg, I = 36
(0 0 3), 10.25 deg, I = 21
(3 0 0), 61.93 deg, I = 18
(1 0 16), 60.85 deg, I = 18
(3 1 8), 83.01 deg, I = 16
(2 1 16), 82.29 deg, I = 16
(2 2 0), 72.90 deg, I = 12
(0 2 16), 71.90 deg, I = 11
(0 1 2), 20.92 deg, I = 9

=====

Starting from a cell relaxed with GGA-PBE, the XRD peak list of Ac2YAgO6 was computed for Cu Kα.
Neutral-atom scattering factors, no anomalous dispersion.

Crystal structure
Cell: 5.700 5.700 5.341 Å, 90.00 90.00 90.00°
Space group P4mm (No. 99)
Symmetry-distinct sites (fractional):
Ac  0.000  0.500  0.000 (multiplicity 2)
Y  0.000  0.000  0.547 (multiplicity 1)
Ag  0.500  0.500  0.640 (multiplicity 1)
O  0.000  0.000  0.145 (multiplicity 1)
O  0.248  0.248  0.714 (multiplicity 4)
O  0.500  0.500  0.151 (multiplicity 1)

Top 12 peaks for 2θ = 10–90°, most intense first:
(1 1 1), 27.73 deg, I = 100
(2 0 0), 31.39 deg, I = 40
(3 1 1), 53.67 deg, I = 33
(0 0 1), 16.60 deg, I = 26
(2 0 2), 46.61 deg, I = 23
(2 2 0), 44.99 deg, I = 22
(1 1 2), 40.52 deg, I = 21
(2 0 1), 35.71 deg, I = 15
(1 1 4), 74.96 deg, I = 12
(3 1 2), 62.13 deg, I = 12
(0 0 2), 33.56 deg, I = 10
(1 1 0), 22.06 deg, I = 10

=====

Starting from a cell relaxed with GGA-PBE, the XRD peak list of Pm3PuSc2Te6 was computed for Cu Kα.
Neutral-atom scattering factors, no anomalous dispersion.

Crystal structure
Cell: 19.075 4.323 8.784 Å, 90.00 104.09 90.00°
Space group C2/m (No. 12)
Symmetry-distinct sites (fractional):
Pm  0.000  0.000  0.000 (multiplicity 2)
Pm  0.162  0.500  0.331 (multiplicity 4)
Pu  0.000  0.000  0.500 (multiplicity 2)
Sc  0.163  0.500  0.825 (multiplicity 4)
Te  0.006  0.500  0.750 (multiplicity 4)
Te  0.168  0.000  0.597 (multiplicity 4)
Te  0.174  0.000  0.069 (multiplicity 4)

Top 12 peaks for 2θ = 10–90°, most intense first:
(1 1 -2), 28.97 deg, I = 100
(5 1 2), 41.64 deg, I = 25
(7 1 -2), 41.22 deg, I = 25
(6 2 0), 51.64 deg, I = 13
(2 0 -4), 41.11 deg, I = 13
(0 2 0), 41.79 deg, I = 13
(2 2 -4), 60.05 deg, I = 12
(4 2 4), 68.31 deg, I = 11
(8 2 -4), 67.72 deg, I = 10
(4 0 4), 51.41 deg, I = 7
(8 0 -4), 50.71 deg, I = 6
(1 3 -2), 68.54 deg, I = 6

=====

Starting from a cell relaxed with GGA-PBE, the XRD peak list of Ac3Al8Pt3 was computed for Cu Kα.
Neutral-atom scattering factors, no anomalous dispersion.

Crystal structure
Cell: 16.565 4.631 9.201 Å, 90.00 123.32 90.00°
Space group C2/m (No. 12)
Symmetry-distinct sites (fractional):
Ac  0.000  0.000  0.000 (multiplicity 2)
Ac  0.215  0.500  0.701 (multiplicity 4)
Al  0.008  0.500  0.677 (multiplicity 4)
Al  0.129  0.000  0.421 (multiplicity 4)
Al  0.149  0.000  0.862 (multiplicity 4)
Al  0.150  0.500  0.286 (multiplicity 4)
Pt  0.000  0.000  0.500 (multiplicity 2)
Pt  0.151  0.500  0.999 (multiplicity 4)

Top 12 peaks for 2θ = 10–90°, most intense first:
(3 1 0), 27.28 deg, I = 100
(5 1 -2), 33.72 deg, I = 72
(3 1 -3), 35.07 deg, I = 64
(3 1 -2), 28.12 deg, I = 48
(0 2 0), 38.89 deg, I = 46
(6 0 -2), 32.49 deg, I = 43
(2 0 -2), 19.29 deg, I = 42
(1 1 1), 25.04 deg, I = 34
(0 0 1), 11.53 deg, I = 29
(1 1 2), 33.55 deg, I = 27
(6 2 -2), 51.55 deg, I = 24
(3 1 -4), 44.46 deg, I = 21

=====

Starting from a cell relaxed with GGA-PBE, the XRD peak list of TiCrIrS was computed for Cu Kα.
Neutral-atom scattering factors, no anomalous dispersion.

Crystal structure
Cell: 4.287 2.843 4.685 Å, 90.00 104.16 90.00°
Space group Pm (No. 6)
Symmetry-distinct sites (fractional):
Ti  0.000  0.000  0.000 (multiplicity 1)
Cr  0.408  0.000  0.621 (multiplicity 1)
Ir  0.868  0.500  0.471 (multiplicity 1)
S  0.475  0.500  0.001 (multiplicity 1)

Top 12 peaks for 2θ = 10–90°, most intense first:
(1 1 -1), 40.77 deg, I = 100
(0 0 1), 19.54 deg, I = 72
(1 1 1), 45.91 deg, I = 62
(1 0 0), 21.38 deg, I = 58
(1 1 0), 38.36 deg, I = 48
(0 1 1), 37.31 deg, I = 46
(0 0 2), 39.68 deg, I = 41
(1 0 -1), 25.26 deg, I = 39
(1 0 1), 32.56 deg, I = 33
(2 0 0), 43.54 deg, I = 32
(2 0 -1), 43.21 deg, I = 28
(1 0 -2), 40.32 deg, I = 27

=====

Starting from a cell relaxed with GGA-PBE, the XRD peak list of Cr12As5C was computed for Cu Kα.
Neutral-atom scattering factors, no anomalous dispersion.

Crystal structure
Cell: 3.212 11.187 6.454 Å, 90.00 90.00 90.00°
Space group Pmm2 (No. 25)
Symmetry-distinct sites (fractional):
Cr  0.000  0.000  0.000 (multiplicity 1)
Cr  0.000  0.110  0.658 (multiplicity 2)
Cr  0.000  0.363  0.144 (multiplicity 2)
Cr  0.000  0.500  0.539 (multiplicity 1)
Cr  0.500  0.000  0.404 (multiplicity 1)
Cr  0.500  0.179  0.947 (multiplicity 2)
Cr  0.500  0.292  0.478 (multiplicity 2)
Cr  0.500  0.500  0.876 (multiplicity 1)
As  0.000  0.160  0.269 (multiplicity 2)
As  0.000  0.328  0.775 (multiplicity 2)
As  0.500  0.500  0.273 (multiplicity 1)
C  0.500  0.000  0.779 (multiplicity 1)

Top 12 peaks for 2θ = 10–90°, most intense first:
(1 0 2), 39.58 deg, I = 100
(1 4 0), 42.82 deg, I = 61
(0 3 3), 48.87 deg, I = 47
(1 2 2), 42.89 deg, I = 42
(1 1 3), 51.78 deg, I = 39
(2 3 3), 78.63 deg, I = 21
(2 0 0), 57.37 deg, I = 20
(1 1 5), 80.65 deg, I = 20
(2 4 2), 74.15 deg, I = 13
(1 6 4), 85.04 deg, I = 13
(0 0 2), 27.63 deg, I = 11
(1 0 0), 27.77 deg, I = 8

=====

Starting from a cell relaxed with GGA-PBE, the XRD peak list of CsUTiTe5 was computed for Cu Kα.
Neutral-atom scattering factors, no anomalous dispersion.

Crystal structure
Cell: 6.186 8.729 10.322 Å, 90.00 90.00 90.00°
Space group Pmma (No. 51)
Symmetry-distinct sites (fractional):
Cs  0.250  0.000  0.220 (multiplicity 2)
U  0.250  0.500  0.673 (multiplicity 2)
Ti  0.000  0.500  0.000 (multiplicity 2)
Te  0.000  0.264  0.500 (multiplicity 4)
Te  0.250  0.264  0.891 (multiplicity 4)
Te  0.250  0.500  0.226 (multiplicity 2)

Top 12 peaks for 2θ = 10–90°, most intense first:
(0 1 0), 10.13 deg, I = 100
(0 2 2), 26.75 deg, I = 85
(1 2 2), 30.47 deg, I = 84
(2 2 1), 36.66 deg, I = 59
(2 0 2), 33.78 deg, I = 46
(1 1 1), 19.58 deg, I = 45
(0 4 0), 41.38 deg, I = 35
(0 2 3), 33.16 deg, I = 33
(1 0 3), 29.71 deg, I = 30
(2 4 2), 54.43 deg, I = 25
(2 2 4), 50.59 deg, I = 24
(2 2 0), 35.57 deg, I = 20

=====

Starting from a cell relaxed with GGA-PBE, the XRD peak list of Pu5Se8 was computed for Cu Kα.
Neutral-atom scattering factors, no anomalous dispersion.

Crystal structure
Cell: 13.515 8.422 9.728 Å, 90.00 131.51 90.00°
Space group C2/m (No. 12)
Symmetry-distinct sites (fractional):
Pu  0.000  0.000  0.000 (multiplicity 2)
Pu  0.000  0.256  0.500 (multiplicity 4)
Pu  0.218  0.500  0.995 (multiplicity 4)
Se  0.007  0.000  0.307 (multiplicity 4)
Se  0.045  0.500  0.347 (multiplicity 4)
Se  0.219  0.224  0.170 (multiplicity 8)

Top 12 peaks for 2θ = 10–90°, most intense first:
(2 0 -1), 13.11 deg, I = 100
(0 2 1), 24.42 deg, I = 91
(0 2 3), 42.98 deg, I = 90
(2 2 -2), 28.06 deg, I = 84
(4 2 -3), 36.66 deg, I = 67
(4 2 -1), 35.87 deg, I = 43
(2 0 1), 27.32 deg, I = 41
(4 0 0), 35.48 deg, I = 36
(4 0 -4), 37.07 deg, I = 24
(3 1 -2), 23.45 deg, I = 19
(4 4 0), 56.90 deg, I = 18
(1 1 -1), 13.93 deg, I = 16

=====

Repeat the sixth record exactly.
Starting from a cell relaxed with GGA-PBE, the XRD peak list of Ac3Al8Pt3 was computed for Cu Kα.
Neutral-atom scattering factors, no anomalous dispersion.

Crystal structure
Cell: 16.565 4.631 9.201 Å, 90.00 123.32 90.00°
Space group C2/m (No. 12)
Symmetry-distinct sites (fractional):
Ac  0.000  0.000  0.000 (multiplicity 2)
Ac  0.215  0.500  0.701 (multiplicity 4)
Al  0.008  0.500  0.677 (multiplicity 4)
Al  0.129  0.000  0.421 (multiplicity 4)
Al  0.149  0.000  0.862 (multiplicity 4)
Al  0.150  0.500  0.286 (multiplicity 4)
Pt  0.000  0.000  0.500 (multiplicity 2)
Pt  0.151  0.500  0.999 (multiplicity 4)

Top 12 peaks for 2θ = 10–90°, most intense first:
(3 1 0), 27.28 deg, I = 100
(5 1 -2), 33.72 deg, I = 72
(3 1 -3), 35.07 deg, I = 64
(3 1 -2), 28.12 deg, I = 48
(0 2 0), 38.89 deg, I = 46
(6 0 -2), 32.49 deg, I = 43
(2 0 -2), 19.29 deg, I = 42
(1 1 1), 25.04 deg, I = 34
(0 0 1), 11.53 deg, I = 29
(1 1 2), 33.55 deg, I = 27
(6 2 -2), 51.55 deg, I = 24
(3 1 -4), 44.46 deg, I = 21